Structure and theoretical powder diffraction line list of InFe17O24 (a crystal structure in Alexandria, relaxed with PBE+U; copper Kα).

Crystal structure
a b c (Å): 6.0230 18.2547 8.6283
angles (deg): 90.00 90.00 90.00
Space group Imm2 (No. 44)
Symmetry-distinct sites (fractional):
In  0.0000  0.0000  0.0000 x2
Fe  0.0000  0.0842  0.3769 x4
Fe  0.0000  0.1658  0.7385 x4
Fe  0.0000  0.2503  0.3695 x4
Fe  0.0000  0.3342  0.0027 x4
Fe  0.0000  0.4161  0.3657 x4
Fe  0.0000  0.5000  0.7428 x2
Fe  0.2473  0.3319  0.6220 x8
Fe  0.2485  0.5000  0.1164 x4
O  0.0000  0.0793  0.6119 x4
O  0.0000  0.0910  0.1423 x4
O  0.0000  0.2510  0.1374 x4
O  0.0000  0.2513  0.6074 x4
O  0.0000  0.4176  0.6050 x4
O  0.0000  0.4207  0.1269 x4
O  0.2235  0.5000  0.3553 x4
O  0.2322  0.0000  0.3733 x4
O  0.2328  0.1679  0.3753 x8
O  0.2350  0.3338  0.3683 x8

Top 10 peaks for 2θ from 10° to 90°, by angle:
(hkl)	2θ (°)	I (rel.)
0 6 0	29.39	76
1 0 3	34.53	92
1 6 1	34.63	90
2 3 1	34.83	94
2 6 0	42.22	28
0 3 5	55.38	35
2 9 1	55.66	25
3 6 1	55.88	35
0 12 0	60.97	100
4 0 0	61.59	19